Diffraction record for Sr2CaV2Si4O14. The XRD peak list is simulated, not measured: it uses a DFT-relaxed cell (PBE+U, the Materials Project) and copper Kα.
Intensities are scaled so that the largest is 1000.

Top 10 peaks for 5° ≤ 2θ ≤ 70°, sorted by position:
two_theta, Rel. int.
19.21, 605
24.27, 590
27.89, 1000
28.04, 952
32.00, 899
34.24, 523
34.77, 620
36.75, 448
44.09, 640
46.78, 453

a = 5.595 Å, b = 7.771 Å, c = 8.091 Å
α = 105.30°, β = 109.11°, γ = 90.35°
Atoms (fractional coordinates):
Sr 0.000 0.000 0.000
Sr 0.308 0.625 0.690
Ca 0.959 0.422 0.940
V 0.117 0.761 0.272
V 0.277 0.123 0.655
Si 0.555 0.218 0.120
Si 0.559 0.805 0.157
Si 0.725 0.387 0.551
Si 0.751 0.824 0.588
O 0.015 0.342 0.642
O 0.046 0.907 0.685
O 0.156 0.994 0.366
O 0.158 0.590 0.370
O 0.264 0.704 0.063
O 0.286 0.242 0.976
O 0.532 0.997 0.109
O 0.556 0.345 0.670
O 0.571 0.921 0.699
O 0.586 0.318 0.332
O 0.643 0.819 0.372
O 0.753 0.614 0.606
O 0.770 0.708 0.073
O 0.795 0.260 0.067



Diffraction record for MgMnO2. The XRD peak list is simulated, not measured: it uses a DFT-relaxed cell (PBE+U, the Materials Project) and copper Kα.
Intensities are scaled so that the largest is 1000.

Top 10 peaks for 5° ≤ 2θ ≤ 70°, sorted by position:
two_theta, Rel. int.
16.52, 387
33.39, 182
34.43, 442
35.80, 782
40.88, 193
44.37, 1000
52.79, 536
60.77, 444
63.45, 50
68.22, 97

a = 3.048 Å, b = 3.048 Å, c = 16.102 Å
α = 90.00°, β = 90.00°, γ = 120.00°
Atoms (fractional coordinates):
Mg 0.000 0.000 0.000
Mg 0.333 0.667 0.667
Mg 0.667 0.333 0.333
Mn 0.000 0.000 0.170
Mn 0.333 0.667 0.836
Mn 0.667 0.333 0.503
O 0.000 0.000 0.588
O 0.000 0.000 0.750
O 0.333 0.667 0.255
O 0.333 0.667 0.417
O 0.667 0.333 0.084
O 0.667 0.333 0.921



Diffraction record for ScMn2O4. The XRD peak list is simulated, not measured: it uses a DFT-relaxed cell (PBE+U, the Materials Project) and copper Kα.
Intensities are scaled so that the largest is 1000.

Top 10 peaks for 5° ≤ 2θ ≤ 70°, sorted by position:
two_theta, Rel. int.
28.39, 688
28.62, 257
32.70, 667
32.95, 502
33.83, 852
34.54, 994
41.73, 377
54.60, 397
55.42, 254
58.75, 1000

a = 6.296 Å, b = 6.296 Å, c = 6.012 Å
α = 118.47°, β = 118.47°, γ = 59.39°
Atoms (fractional coordinates):
Sc 0.000 0.500 0.000
Sc 0.500 0.000 0.000
Mn 0.000 0.000 0.000
Mn 0.000 0.000 0.500
Mn 0.380 0.380 0.630
Mn 0.620 0.620 0.370
O 0.203 0.775 0.238
O 0.225 0.797 0.762
O 0.245 0.245 0.765
O 0.246 0.246 0.227
O 0.754 0.754 0.773
O 0.755 0.755 0.235
O 0.775 0.203 0.238
O 0.797 0.225 0.762



Diffraction record for MnSiO3. The XRD peak list is simulated, not measured: it uses a DFT-relaxed cell (PBE+U, the Materials Project) and copper Kα.
Intensities are scaled so that the largest is 1000.

Top 10 peaks for 5° ≤ 2θ ≤ 70°, sorted by position:
two_theta, Rel. int.
18.44, 269
26.32, 320
27.95, 482
29.74, 553
29.95, 766
32.12, 1000
33.19, 310
33.92, 322
40.70, 378
43.01, 318

a = 6.802 Å, b = 7.730 Å, c = 12.028 Å
α = 105.76°, β = 92.44°, γ = 94.60°
Atoms (fractional coordinates):
Mn 0.028 0.123 0.147
Mn 0.130 0.316 0.447
Mn 0.186 0.510 0.731
Mn 0.208 0.702 0.028
Mn 0.344 0.967 0.294
Mn 0.656 0.033 0.706
Mn 0.792 0.298 0.972
Mn 0.814 0.490 0.269
Mn 0.870 0.684 0.553
Mn 0.972 0.877 0.853
Si 0.151 0.076 0.655
Si 0.243 0.255 0.911
Si 0.297 0.549 0.266
Si 0.362 0.740 0.534
Si 0.494 0.224 0.124
Si 0.506 0.776 0.876
Si 0.638 0.260 0.466
Si 0.703 0.451 0.734
Si 0.757 0.745 0.089
Si 0.849 0.924 0.345
O 0.043 0.045 0.320
O 0.055 0.156 0.960
O 0.109 0.405 0.268
O 0.110 0.251 0.612
O 0.189 0.452 0.905
O 0.195 0.598 0.566
O 0.262 0.696 0.195
O 0.269 0.796 0.869
O 0.284 0.945 0.562
O 0.294 0.139 0.779
O 0.338 0.069 0.145
O 0.384 0.679 0.393
O 0.419 0.231 0.402
O 0.445 0.257 0.994
O 0.482 0.427 0.218
O 0.518 0.573 0.782
O 0.555 0.743 0.006
O 0.581 0.769 0.598
O 0.616 0.321 0.607
O 0.662 0.931 0.855
O 0.706 0.861 0.221
O 0.716 0.055 0.438
O 0.731 0.204 0.131
O 0.738 0.304 0.805
O 0.805 0.402 0.434
O 0.811 0.548 0.095
O 0.890 0.749 0.388
O 0.891 0.595 0.732
O 0.945 0.844 0.040
O 0.957 0.955 0.680



Diffraction record for NaCa3Fe4Si8O24. The XRD peak list is simulated, not measured: it uses a DFT-relaxed cell (PBE+U, the Materials Project) and copper Kα.
Intensities are scaled so that the largest is 1000.

Top 10 peaks for 5° ≤ 2θ ≤ 70°, sorted by position:
two_theta, Rel. int.
12.92, 1000
18.58, 149
25.47, 366
26.01, 617
29.49, 198
34.93, 225
38.24, 207
38.36, 158
38.84, 239
40.92, 266

a = 7.656 Å, b = 7.656 Å, c = 10.804 Å
α = 113.63°, β = 113.63°, γ = 77.17°
Atoms (fractional coordinates):
Na 0.000 0.000 0.000
Ca 0.295 0.211 0.761
Ca 0.531 0.469 0.500
Ca 0.789 0.705 0.239
Fe 0.359 0.641 0.000
Fe 0.384 0.104 0.237
Fe 0.896 0.616 0.763
Fe 0.919 0.081 0.500
Si 0.000 0.458 0.500
Si 0.032 0.499 0.009
Si 0.285 0.678 0.748
Si 0.322 0.715 0.252
Si 0.501 0.968 0.991
Si 0.542 0.000 0.500
Si 0.781 0.179 0.243
Si 0.821 0.219 0.757
O 0.000 0.096 0.709
O 0.085 0.288 0.566
O 0.135 0.753 0.836
O 0.138 0.577 0.193
O 0.186 0.600 0.568
O 0.206 0.431 0.943
O 0.247 0.865 0.164
O 0.325 0.096 0.037
O 0.400 0.814 0.432
O 0.408 0.503 0.807
O 0.413 0.175 0.447
O 0.423 0.862 0.807
O 0.497 0.592 0.193
O 0.569 0.794 0.057
O 0.610 0.259 0.310
O 0.633 0.078 0.684
O 0.689 0.102 0.060
O 0.712 0.915 0.434
O 0.741 0.390 0.690
O 0.825 0.587 0.553
O 0.898 0.311 0.940
O 0.904 0.000 0.291
O 0.904 0.675 0.963
O 0.922 0.367 0.316



Diffraction record for ZnCrO3. The XRD peak list is simulated, not measured: it uses a DFT-relaxed cell (PBE+U, the Materials Project) and copper Kα.
Intensities are scaled so that the largest is 1000.

Top 10 peaks for 5° ≤ 2θ ≤ 70°, sorted by position:
two_theta, Rel. int.
34.12, 1000
35.00, 239
35.15, 248
39.48, 85
47.56, 164
50.45, 247
60.40, 120
60.50, 120
62.22, 202
62.41, 244

a = 5.127 Å, b = 7.647 Å, c = 5.106 Å
α = 90.00°, β = 90.00°, γ = 90.00°
Atoms (fractional coordinates):
Zn 0.030 0.250 0.014
Zn 0.470 0.750 0.514
Zn 0.530 0.250 0.486
Zn 0.970 0.750 0.986
Cr 0.000 0.000 0.500
Cr 0.000 0.500 0.500
Cr 0.500 0.000 0.000
Cr 0.500 0.500 0.000
O 0.079 0.750 0.606
O 0.179 0.561 0.168
O 0.179 0.939 0.168
O 0.321 0.061 0.668
O 0.321 0.439 0.668
O 0.421 0.250 0.106
O 0.579 0.750 0.894
O 0.679 0.561 0.332
O 0.679 0.939 0.332
O 0.821 0.061 0.832
O 0.821 0.439 0.832
O 0.921 0.250 0.394